# 1
Calculated X-ray diffraction stick pattern
Compound: Ti5Nb2Al4
Radiation: Cu Kα, 1.54184 Å
Structure: a crystal structure in Alexandria, relaxed with GGA-PBE
Intensities are scaled so that the largest is 1000.

Largest 12 diffraction maxima, most intense first, 2θ from 5° to 70°:
2θ/deg  Rel. int.
39.51  1000
38.46  810
39.73  747
32.31  501
15.13  415
40.26  360
52.10  345
12.41  309
41.26  278
43.70  275
9.44  267
51.09  252

Atomic structure:
```
Ti5Nb2Al4
1.0
7.148 0.000 0.000
0.000 2.770 0.000
-0.593 0.000 9.370
Ti Nb Al
5 2 4
direct
0.000 0.000 0.000 Ti
0.072 0.000 0.288 Ti
0.296 0.000 0.829 Ti
0.704 0.000 0.171 Ti
0.928 0.000 0.712 Ti
0.437 0.000 0.360 Nb
0.563 0.000 0.640 Nb
0.205 0.500 0.558 Al
0.335 0.500 0.101 Al
0.665 0.500 0.899 Al
0.795 0.500 0.442 Al
```


# 2
Calculated X-ray diffraction stick pattern
Compound: Ti3NbAl
Radiation: Cu Kα, 1.54184 Å
Structure: a crystal structure in Alexandria, relaxed with GGA-PBE
Intensities are scaled so that the largest is 1000.

Largest 12 diffraction maxima, most intense first, 2θ from 5° to 70°:
2θ/deg  Rel. int.
39.37  1000
11.04  369
38.92  288
39.04  264
56.30  183
32.10  85
57.47  70
27.86  60
22.19  48
48.53  43
40.58  32
40.69  32

Atomic structure:
```
Ti3NbAl
1.0
2.314 -8.018 0.000
2.314 8.018 0.000
0.000 0.000 4.615
Ti Nb Al
6 2 2
direct
0.049 0.951 0.750 Ti
0.152 0.848 0.250 Ti
0.344 0.656 0.250 Ti
0.656 0.344 0.750 Ti
0.848 0.152 0.750 Ti
0.951 0.049 0.250 Ti
0.242 0.758 0.750 Nb
0.758 0.242 0.250 Nb
0.449 0.551 0.750 Al
0.551 0.449 0.250 Al
```